1.
Calculated X-ray diffraction stick pattern of AcTb6Sm8 for Cu Kα X-rays, from a cell relaxed with GGA-PBE.

Most intense lines, 2θ = 10–80°, by angle:
Position (°2θ)  intensity
25.33  449
28.36  221
29.25  211
31.53  1000
32.25  763
33.05  939
49.71  262
52.24  219

Crystal structure
```
data_AcTb6Sm8
_cell_length_a 9.6145
_cell_length_b 9.6145
_cell_length_c 6.5646
_cell_angle_alpha 90.00
_cell_angle_beta 90.00
_cell_angle_gamma 120.00
_symmetry_space_group_name_H-M 'P -3'
_symmetry_Int_Tables_number 147
_symmetry_space_group_name_Hall '-P 3'
loop_
_atom_site_label
_atom_site_type_symbol
_atom_site_fract_x
_atom_site_fract_y
_atom_site_fract_z
Ac1 Ac 0.0000 0.0000 0.0000
Tb1 Tb 0.0964 0.6785 0.0959
Sm1 Sm 0.0219 0.3343 0.4012
Sm2 Sm 0.3333 0.6667 0.6634
```

2.
Calculated X-ray diffraction stick pattern of Sm4Dy7In for Cu Kα X-rays, from a cell relaxed with GGA-PBE.

Most intense lines, 2θ = 10–80°, by angle:
Position (°2θ)  intensity
29.90  625
30.03  571
30.53  1000
32.26  995
32.67  450
34.30  553
43.35  420
55.36  246

Crystal structure
```
data_Sm4Dy7In
_cell_length_a 12.1645
_cell_length_b 5.8566
_cell_length_c 12.4704
_cell_angle_alpha 90.00
_cell_angle_beta 115.69
_cell_angle_gamma 90.00
_symmetry_space_group_name_H-M 'C 1 2/m 1'
_symmetry_Int_Tables_number 12
_symmetry_space_group_name_Hall '-C 2y'
loop_
_atom_site_label
_atom_site_type_symbol
_atom_site_fract_x
_atom_site_fract_y
_atom_site_fract_z
Sm1 Sm 0.1290 0.0000 0.2692
Sm2 Sm 0.1652 0.5000 0.1325
Dy1 Dy 0.0000 0.0000 0.5000
Dy2 Dy 0.0958 0.5000 0.7769
Dy3 Dy 0.1319 0.0000 0.9818
Dy4 Dy 0.2007 0.5000 0.4223
In1 In 0.0000 0.5000 0.5000
```

3.
Calculated X-ray diffraction stick pattern of TiTeW for Cu Kα X-rays, from a cell relaxed with GGA-PBE.

Most intense lines, 2θ = 10–80°, by angle:
Position (°2θ)  intensity
14.01  369
32.51  262
33.99  215
34.82  215
38.39  1000
39.68  331
42.95  419
58.40  179

Crystal structure
```
data_TiTeW
_cell_length_a 12.6382
_cell_length_b 3.3110
_cell_length_c 5.3943
_cell_angle_alpha 90.00
_cell_angle_beta 90.00
_cell_angle_gamma 90.00
_symmetry_space_group_name_H-M 'A m m 2'
_symmetry_Int_Tables_number 38
_symmetry_space_group_name_Hall 'A 2 -2'
loop_
_atom_site_label
_atom_site_type_symbol
_atom_site_fract_x
_atom_site_fract_y
_atom_site_fract_z
Ti1 Ti 0.0000 0.0000 0.0000
Ti2 Ti 0.5000 0.0000 0.1655
Te1 Te 0.1707 0.0000 0.3253
W1 W 0.3363 0.0000 0.6618
```